Diffraction record for LiAg2Pd2Au4. The XRD peak list is calculated, not measured: it uses a crystal structure in Alexandria, relaxed with GGA-PBE and Cu Ka.
Peak positions follow from Bragg's law for the DFT cell and can differ from measured ones.

Principal peaks in the range 2θ from 15° to 90°, in order of rising 2θ:
- 2θ = 20.17°, I 86.7
- 2θ = 38.57°, I 100.0
- 2θ = 38.74°, I 76.8
- 2θ = 39.64°, I 73.3
- 2θ = 40.83°, I 67.6
- 2θ = 42.48°, I 58.9

Atomic structure:
Cell: 4.9744 5.2404 6.8705 Å, 70.67 73.01 83.50°
Fractional coordinates of all 9 atoms:
1 Li 0.0000 0.0000 0.0000
2 Ag 0.4021 0.2963 0.4414
3 Ag 0.5979 0.7037 0.5586
4 Pd 0.0192 0.5403 0.7785
5 Pd 0.9808 0.4597 0.2215
6 Au 0.1608 0.8788 0.3526
7 Au 0.4481 0.2731 0.9659
8 Au 0.5519 0.7269 0.0341
9 Au 0.8392 0.1212 0.6474

***

Diffraction record for Li3Ag2Sn4Au2. The XRD peak list is calculated, not measured: it uses a crystal structure in Alexandria, relaxed with GGA-PBE and Cu Ka.
Peak positions follow from Bragg's law for the DFT cell and can differ from measured ones.

Principal peaks in the range 2θ from 15° to 90°, in order of rising 2θ:
- 2θ = 21.63°, I 94.9
- 2θ = 29.55°, I 54.6
- 2θ = 36.91°, I 59.6
- 2θ = 37.93°, I 100.0
- 2θ = 48.80°, I 83.0
- 2θ = 76.34°, I 22.8

Atomic structure:
Cell: 4.7443 4.7443 12.0928 Å, 90.00 90.00 120.00°
Fractional coordinates of all 11 atoms:
1 Li 0.0000 0.0000 0.0000
2 Li 0.0000 0.0000 0.2552
3 Li 0.0000 0.0000 0.7448
4 Ag 0.3333 0.6667 0.6388
5 Ag 0.6667 0.3333 0.3612
6 Sn 0.3333 0.6667 0.3984
7 Sn 0.3333 0.6667 0.8773
8 Sn 0.6667 0.3333 0.1227
9 Sn 0.6667 0.3333 0.6016
10 Au 0.3333 0.6667 0.1301
11 Au 0.6667 0.3333 0.8699

***

Diffraction record for Sr2LiAgAu2. The XRD peak list is calculated, not measured: it uses a crystal structure in Alexandria, relaxed with GGA-PBE and Cu Ka.
Peak positions follow from Bragg's law for the DFT cell and can differ from measured ones.

Principal peaks in the range 2θ from 15° to 90°, in order of rising 2θ:
- 2θ = 22.94°, I 100.0
- 2θ = 30.60°, I 65.1
- 2θ = 36.58°, I 97.2
- 2θ = 36.83°, I 92.4
- 2θ = 40.17°, I 99.2
- 2θ = 40.51°, I 57.9

Atomic structure:
Cell: 8.9083 8.9083 8.9083 Å, 138.49 60.53 138.00°
Fractional coordinates of all 12 atoms:
1 Sr 0.1667 0.2389 0.4056
2 Sr 0.3333 0.7389 0.0722
3 Sr 0.6667 0.2611 0.9278
4 Sr 0.8333 0.7611 0.5944
5 Li 0.2500 0.7500 0.5000
6 Li 0.7500 0.2500 0.5000
7 Ag 0.2500 0.2500 0.0000
8 Ag 0.7500 0.7500 0.0000
9 Au 0.1156 0.7332 0.8488
10 Au 0.3844 0.2332 0.6176
11 Au 0.6156 0.7668 0.3824
12 Au 0.8844 0.2668 0.1512

***

Diffraction record for Li2YAgAu2. The XRD peak list is calculated, not measured: it uses a crystal structure in Alexandria, relaxed with GGA-PBE and Cu Ka.
Peak positions follow from Bragg's law for the DFT cell and can differ from measured ones.

Principal peaks in the range 2θ from 15° to 90°, in order of rising 2θ:
- 2θ = 26.72°, I 100.0
- 2θ = 36.00°, I 67.4
- 2θ = 40.19°, I 56.5
- 2θ = 48.04°, I 21.6
- 2θ = 48.92°, I 19.9
- 2θ = 55.05°, I 19.5

Atomic structure:
Cell: 4.4874 4.4874 6.5069 Å, 90.00 90.00 120.00°
Fractional coordinates of all 6 atoms:
1 Li 0.3333 0.6667 0.1543
2 Li 0.6667 0.3333 0.8457
3 Y 0.0000 0.0000 0.5000
4 Ag 0.0000 0.0000 0.0000
5 Au 0.3333 0.6667 0.7420
6 Au 0.6667 0.3333 0.2580

***

Diffraction record for Li3Zn3AgAu2. The XRD peak list is calculated, not measured: it uses a crystal structure in Alexandria, relaxed with GGA-PBE and Cu Ka.
Peak positions follow from Bragg's law for the DFT cell and can differ from measured ones.

Principal peaks in the range 2θ from 15° to 90°, in order of rising 2θ:
- 2θ = 23.35°, I 100.0
- 2θ = 34.56°, I 33.3
- 2θ = 39.74°, I 50.4
- 2θ = 41.04°, I 64.3
- 2θ = 42.13°, I 31.0
- 2θ = 48.72°, I 31.1

Atomic structure:
Cell: 7.6180 7.6180 2.8232 Å, 90.00 90.00 120.00°
Fractional coordinates of all 9 atoms:
1 Li 0.0000 0.6967 0.0000
2 Li 0.3033 0.3033 0.0000
3 Li 0.6967 0.0000 0.0000
4 Zn 0.0000 0.3634 0.5000
5 Zn 0.3634 0.0000 0.5000
6 Zn 0.6366 0.6366 0.5000
7 Ag 0.0000 0.0000 0.5000
8 Au 0.3333 0.6667 0.0000
9 Au 0.6667 0.3333 0.0000

***

Diffraction record for Li2Zn2AgAu5. The XRD peak list is calculated, not measured: it uses a crystal structure in Alexandria, relaxed with GGA-PBE and Cu Ka.
Peak positions follow from Bragg's law for the DFT cell and can differ from measured ones.

Principal peaks in the range 2θ from 15° to 90°, in order of rising 2θ:
- 2θ = 21.21°, I 41.4
- 2θ = 21.83°, I 54.8
- 2θ = 37.55°, I 100.0
- 2θ = 41.22°, I 47.8
- 2θ = 44.51°, I 26.8
- 2θ = 45.73°, I 33.0

Atomic structure:
Cell: 9.3668 9.3668 4.0715 Å, 90.00 90.00 90.00°
Fractional coordinates of all 20 atoms:
1 Li 0.1713 0.3287 0.0000
2 Li 0.3287 0.8287 0.0000
3 Li 0.6713 0.1713 0.0000
4 Li 0.8287 0.6713 0.0000
5 Zn 0.1269 0.6269 0.0000
6 Zn 0.3731 0.1269 0.0000
7 Zn 0.6269 0.8731 0.0000
8 Zn 0.8731 0.3731 0.0000
9 Ag 0.0000 0.0000 0.0000
10 Ag 0.5000 0.5000 0.0000
11 Au 0.0000 0.5000 0.5000
12 Au 0.0844 0.8022 0.5000
13 Au 0.1978 0.0844 0.5000
14 Au 0.3022 0.5844 0.5000
15 Au 0.4156 0.3022 0.5000
16 Au 0.5000 0.0000 0.5000
17 Au 0.5844 0.6978 0.5000
18 Au 0.6978 0.4156 0.5000
19 Au 0.8022 0.9156 0.5000
20 Au 0.9156 0.1978 0.5000